# Te2MoW3Se4S2
Calculated powder XRD pattern, Cu Kα, 1.54184 Å. Input: a DFT-relaxed cell (PBE, the Materials Project).
Neutral-atom scattering factors, no anomalous dispersion.

Atomic structure:
a b c (Å): 3.3422 3.3422 38.2015
angles (deg): 90.00 90.00 120.00
Element x y z (fractional)
Te 0.0000 0.0000 0.0000
Te 0.0000 0.0000 0.0999
Mo 0.6667 0.3333 0.6742
W 0.0000 0.0000 0.2378
W 0.0000 0.0000 0.8621
W 0.6667 0.3333 0.0499
Se 0.0000 0.0000 0.6306
Se 0.0000 0.0000 0.7178
Se 0.6667 0.3333 0.8183
Se 0.6667 0.3333 0.9058
S 0.6667 0.3333 0.1979
S 0.6667 0.3333 0.2777

Principal peaks in the range 10 to 90 degrees two-theta, in order of falling intensity:
d/Å  I/Imax  index
7.640  100  0 0 5
2.475  75  1 0 8
2.062  44  0 1 13
2.892  41  1 0 0
1.671  29  1 1 0
2.391  20  0 0 16

=====

# TeMoWSe2S
Calculated powder XRD pattern, Cu Kα, 1.54184 Å. Input: a DFT-relaxed cell (PBE, the Materials Project).
Neutral-atom scattering factors, no anomalous dispersion.

Atomic structure:
a b c (Å): 3.3427 3.3427 38.0427
angles (deg): 90.00 90.00 120.00
Element x y z (fractional)
Te 0.0000 0.0000 0.0000
Te 0.0000 0.0000 0.1002
Mo 0.0000 0.0000 0.4865
Mo 0.3333 0.6667 0.6744
W 0.0000 0.0000 0.8622
W 0.3333 0.6667 0.0501
Se 0.0000 0.0000 0.6306
Se 0.0000 0.0000 0.7181
Se 0.3333 0.6667 0.4427
Se 0.3333 0.6667 0.5302
S 0.3333 0.6667 0.8222
S 0.3333 0.6667 0.9022

Principal peaks in the range 10 to 90 degrees two-theta, in order of falling intensity:
d/Å  I/Imax  index
7.609  100  0 0 5
2.473  81  1 0 8
2.058  46  1 0 13
2.893  43  1 0 0
1.671  27  1 1 0
6.340  20  0 0 6

=====

# Te2Mo3WSe4S2
Calculated powder XRD pattern, Cu Kα, 1.54184 Å. Input: a DFT-relaxed cell (PBE, the Materials Project).
Neutral-atom scattering factors, no anomalous dispersion.

Atomic structure:
a b c (Å): 3.3471 3.3471 38.0972
angles (deg): 90.00 90.00 120.00
Element x y z (fractional)
Te 0.0000 0.0000 0.0000
Te 0.0000 0.0000 0.1001
Mo 0.0000 0.0000 0.2380
Mo 0.0000 0.0000 0.8622
Mo 0.6667 0.3333 0.6744
W 0.6667 0.3333 0.0501
Se 0.0000 0.0000 0.6306
Se 0.0000 0.0000 0.7181
Se 0.6667 0.3333 0.1943
Se 0.6667 0.3333 0.2818
S 0.6667 0.3333 0.8224
S 0.6667 0.3333 0.9020

Principal peaks in the range 10 to 90 degrees two-theta, in order of falling intensity:
d/Å  I/Imax  index
7.619  100  0 0 5
2.476  87  1 0 8
2.061  51  1 0 13
2.897  47  1 0 0
1.673  34  1 1 0
1.984  16  0 1 14

=====

# Te2Mo3WSe4S2
Calculated powder XRD pattern, Cu Kα, 1.54184 Å. Input: a DFT-relaxed cell (PBE, the Materials Project).
Neutral-atom scattering factors, no anomalous dispersion.

Atomic structure:
a b c (Å): 3.3427 3.3427 38.0588
angles (deg): 90.00 90.00 120.00
Element x y z (fractional)
Te 0.0000 0.0000 0.0000
Te 0.0000 0.0000 0.0997
Mo 0.0000 0.0000 0.2378
Mo 0.6667 0.3333 0.0498
Mo 0.6667 0.3333 0.4257
W 0.0000 0.0000 0.6135
Se 0.0000 0.0000 0.3818
Se 0.0000 0.0000 0.4695
Se 0.6667 0.3333 0.1940
Se 0.6667 0.3333 0.2816
S 0.6667 0.3333 0.5736
S 0.6667 0.3333 0.6535

Principal peaks in the range 10 to 90 degrees two-theta, in order of falling intensity:
d/Å  I/Imax  index
7.612  100  0 0 5
2.473  90  1 0 8
2.058  52  0 1 13
2.894  47  1 0 0
1.671  31  1 1 0
6.343  19  0 0 6

=====

# TeMoWSe2S
Calculated powder XRD pattern, Cu Kα, 1.54184 Å. Input: a DFT-relaxed cell (PBE, the Materials Project).
Neutral-atom scattering factors, no anomalous dispersion.

Atomic structure:
a b c (Å): 3.3456 3.3456 38.1249
angles (deg): 90.00 90.00 120.00
Element x y z (fractional)
Te 0.0000 0.0000 0.0000
Te 0.0000 0.0000 0.1001
Mo 0.0000 0.0000 0.4864
Mo 0.3333 0.6667 0.6743
W 0.0000 0.0000 0.8621
W 0.3333 0.6667 0.0501
Se 0.3333 0.6667 0.4427
Se 0.3333 0.6667 0.5301
Se 0.3333 0.6667 0.8181
Se 0.3333 0.6667 0.9061
S 0.0000 0.0000 0.6345
S 0.0000 0.0000 0.7141

Principal peaks in the range 10 to 90 degrees two-theta, in order of falling intensity:
d/Å  I/Imax  index
7.625  100  0 0 5
2.476  80  0 1 8
2.061  46  1 0 13
2.896  40  1 0 0
1.673  29  1 1 0
6.354  20  0 0 6

=====

# Te2MoWSeS
Calculated powder XRD pattern, Cu Kα, 1.54184 Å. Input: a DFT-relaxed cell (PBE, the Materials Project).
Neutral-atom scattering factors, no anomalous dispersion.

Atomic structure:
a b c (Å): 3.3945 3.3945 40.2255
angles (deg): 90.00 90.00 120.00
Element x y z (fractional)
Te 0.0000 0.0000 0.0000
Te 0.0000 0.0000 0.0932
Te 0.3333 0.6667 0.8092
Te 0.3333 0.6667 0.9025
Mo 0.0000 0.0000 0.8558
Mo 0.3333 0.6667 0.0466
W 0.0000 0.0000 0.2337
W 0.3333 0.6667 0.4211
Se 0.3333 0.6667 0.1925
Se 0.3333 0.6667 0.2749
S 0.0000 0.0000 0.3835
S 0.0000 0.0000 0.4586

Principal peaks in the range 10 to 90 degrees two-theta, in order of falling intensity:
d/Å  I/Imax  index
8.045  100  0 0 5
2.538  70  0 1 8
2.131  51  0 1 13
2.938  40  1 0 0
1.697  28  1 1 0
6.704  21  0 0 6